Entry 1:
This entry pairs a crystal structure of Li2NdVF8 with its theoretical powder diffractogram. Radiation: Cu Kα. Structure: DFT lattice parameters and positions (GGA+U).
No peak broadening, texture or thermal motion is included.

Unit cell a=4.639 b=4.863 c=6.996 alpha=87.62 beta=89.26 gamma=86.63
Fractional positions:
Li 0.032 0.033 0.289
Li 0.968 0.967 0.711
Nd 0.500 0.500 0.000
V 0.500 0.500 0.500
F 0.148 0.210 0.041
F 0.205 0.232 0.504
F 0.311 0.707 0.714
F 0.316 0.717 0.276
F 0.684 0.283 0.724
F 0.689 0.293 0.286
F 0.795 0.768 0.496
F 0.852 0.790 0.959

Principal peaks in the range 2θ from 10° to 80°, low angle first:
2theta, d (Å), Rel. int.
12.66, 6.989, 30
18.29, 4.850, 100
19.17, 4.630, 81
25.49, 3.495, 44
25.81, 3.451, 60
27.39, 3.256, 50
30.92, 2.892, 27
37.37, 2.407, 44
38.15, 2.359, 45
42.28, 2.138, 31

Entry 2:
This entry pairs a crystal structure of Li3Ni3F8 with its theoretical powder diffractogram. Radiation: Cu Kα. Structure: DFT lattice parameters and positions (GGA+U).
No peak broadening, texture or thermal motion is included.

Unit cell a=5.998 b=5.998 c=5.998 alpha=60.95 beta=60.95 gamma=60.95
Fractional positions:
Li 0.000 0.000 0.000
Li 0.381 0.381 0.381
Li 0.619 0.619 0.619
Ni 0.000 0.000 0.500
Ni 0.000 0.500 0.000
Ni 0.500 0.000 0.000
F 0.225 0.757 0.757
F 0.243 0.243 0.775
F 0.243 0.775 0.243
F 0.250 0.250 0.250
F 0.750 0.750 0.750
F 0.757 0.225 0.757
F 0.757 0.757 0.225
F 0.775 0.243 0.243

Principal peaks in the range 2θ from 10° to 80°, low angle first:
2theta, d (Å), Rel. int.
17.90, 4.955, 43
18.25, 4.862, 96
20.80, 4.271, 20
34.60, 2.592, 59
34.79, 2.579, 19
42.33, 2.135, 100
46.45, 1.955, 19
60.91, 1.521, 32
61.89, 1.499, 30
64.16, 1.452, 17

Entry 3:
This entry pairs a crystal structure of Li2Ni4F9 with its theoretical powder diffractogram. Radiation: Cu Kα. Structure: DFT lattice parameters and positions (GGA+U).
No peak broadening, texture or thermal motion is included.

Unit cell a=5.062 b=5.062 c=14.543 alpha=91.92 beta=91.92 gamma=61.44
Fractional positions:
Li 0.030 0.961 0.655
Li 0.039 0.970 0.845
Li 0.961 0.030 0.155
Li 0.970 0.039 0.345
Ni 0.308 0.371 0.319
Ni 0.333 0.360 0.020
Ni 0.360 0.333 0.520
Ni 0.371 0.308 0.819
Ni 0.629 0.692 0.181
Ni 0.640 0.667 0.480
Ni 0.667 0.640 0.980
Ni 0.692 0.629 0.681
F 0.021 0.361 0.416
F 0.040 0.285 0.748
F 0.077 0.626 0.915
F 0.285 0.040 0.248
F 0.296 0.691 0.103
F 0.309 0.704 0.397
F 0.339 0.661 0.750
F 0.361 0.021 0.916
F 0.374 0.923 0.585
F 0.626 0.077 0.415
F 0.639 0.979 0.084
F 0.661 0.339 0.250
F 0.691 0.296 0.603
F 0.704 0.309 0.897
F 0.715 0.960 0.752
F 0.923 0.374 0.085
F 0.960 0.715 0.252
F 0.979 0.639 0.584

Principal peaks in the range 2θ from 10° to 80°, low angle first:
2theta, d (Å), Rel. int.
19.98, 4.445, 100
23.25, 3.826, 43
31.47, 2.842, 62
32.13, 2.786, 69
35.50, 2.529, 49
47.53, 1.913, 27
51.34, 1.780, 38
51.71, 1.768, 36
53.26, 1.720, 27
62.72, 1.481, 35

Entry 4:
This entry pairs a crystal structure of Li2NiF with its theoretical powder diffractogram. Radiation: Cu Kα. Structure: DFT lattice parameters and positions (GGA+U).
No peak broadening, texture or thermal motion is included.

Unit cell a=5.397 b=5.397 c=5.397 alpha=115.93 beta=115.93 gamma=97.20
Fractional positions:
Li 0.006 0.625 0.881
Li 0.375 0.256 0.381
Li 0.744 0.125 0.119
Li 0.875 0.994 0.619
Ni 0.250 0.750 0.500
Ni 0.500 0.500 0.000
F 0.000 0.000 0.000
F 0.750 0.250 0.500

Principal peaks in the range 2θ from 10° to 80°, low angle first:
2theta, d (Å), Rel. int.
19.88, 4.466, 39
31.25, 2.863, 53
33.47, 2.677, 100
37.31, 2.410, 26
41.08, 2.197, 10
44.78, 2.024, 21
57.04, 1.615, 37
61.21, 1.514, 17
70.33, 1.339, 9
74.06, 1.280, 9

Entry 5:
This entry pairs a crystal structure of Li3Ni2F8 with its theoretical powder diffractogram. Radiation: Cu Kα. Structure: DFT lattice parameters and positions (GGA+U).
No peak broadening, texture or thermal motion is included.

Unit cell a=5.626 b=5.626 c=4.896 alpha=94.19 beta=94.19 gamma=63.93
Fractional positions:
Li 0.000 0.000 0.000
Li 0.252 0.748 0.500
Li 0.748 0.252 0.500
Ni 0.268 0.268 0.995
Ni 0.732 0.732 0.005
F 0.088 0.622 0.835
F 0.112 0.112 0.701
F 0.378 0.912 0.165
F 0.401 0.401 0.300
F 0.599 0.599 0.700
F 0.622 0.088 0.835
F 0.888 0.888 0.299
F 0.912 0.378 0.165

Principal peaks in the range 2θ from 10° to 80°, low angle first:
2theta, d (Å), Rel. int.
18.19, 4.878, 100
18.66, 4.755, 58
25.00, 3.562, 55
27.30, 3.267, 37
30.00, 2.979, 23
39.44, 2.285, 78
43.12, 2.098, 26
50.85, 1.796, 18
51.43, 1.777, 19
65.39, 1.427, 19

Entry 6:
This entry pairs a crystal structure of Li3NiF7 with its theoretical powder diffractogram. Radiation: Cu Kα. Structure: DFT lattice parameters and positions (GGA+U).
No peak broadening, texture or thermal motion is included.

Unit cell a=4.964 b=4.964 c=5.333 alpha=101.59 beta=101.59 gamma=89.16
Fractional positions:
Li 0.000 0.000 0.000
Li 0.367 0.897 0.472
Li 0.897 0.367 0.472
Ni 0.490 0.490 0.856
F 0.028 0.028 0.350
F 0.229 0.600 0.608
F 0.247 0.247 0.895
F 0.383 0.752 0.097
F 0.600 0.229 0.608
F 0.725 0.725 0.779
F 0.752 0.383 0.097

Principal peaks in the range 2θ from 10° to 80°, low angle first:
2theta, d (Å), Rel. int.
17.33, 5.117, 74
18.25, 4.861, 100
22.54, 3.945, 91
26.28, 3.392, 37
27.14, 3.286, 23
27.75, 3.214, 51
31.05, 2.880, 44
40.92, 2.205, 31
43.91, 2.062, 51
46.44, 1.955, 26

Entry 7:
This entry pairs a crystal structure of Li3Ni5OF11 with its theoretical powder diffractogram. Radiation: Cu Kα. Structure: DFT lattice parameters and positions (GGA+U).
No peak broadening, texture or thermal motion is included.

Unit cell a=5.358 b=5.468 c=9.080 alpha=97.36 beta=100.11 gamma=116.04
Fractional positions:
Li 0.000 0.000 0.000
Li 0.169 0.226 0.367
Li 0.680 0.174 0.526
Ni 0.037 0.600 0.206
Ni 0.386 0.457 0.709
Ni 0.435 0.996 0.865
Ni 0.473 0.571 0.046
Ni 0.946 0.741 0.490
O 0.620 0.764 0.891
F 0.021 0.126 0.556
F 0.139 0.675 0.679
F 0.196 0.217 0.869
F 0.221 0.350 0.176
F 0.226 0.795 0.051
F 0.302 0.913 0.397
F 0.545 0.536 0.517
F 0.585 0.218 0.715
F 0.685 0.332 0.046
F 0.811 0.813 0.241
F 0.882 0.386 0.365

Principal peaks in the range 2θ from 10° to 80°, low angle first:
2theta, d (Å), Rel. int.
18.57, 4.779, 48
19.04, 4.661, 44
19.17, 4.631, 100
22.21, 4.002, 23
23.94, 3.717, 63
30.85, 2.899, 42
38.13, 2.360, 23
39.27, 2.294, 45
43.75, 2.069, 30
45.16, 2.008, 38

Entry 8:
This entry pairs a crystal structure of LiNi7O7F with its theoretical powder diffractogram. Radiation: Cu Kα. Structure: DFT lattice parameters and positions (GGA+U).
No peak broadening, texture or thermal motion is included.

Unit cell a=5.196 b=2.983 c=9.902 alpha=90.00 beta=99.49 gamma=90.00
Fractional positions:
Li 0.000 0.000 0.000
Ni 0.006 0.500 0.525
Ni 0.247 0.000 0.775
Ni 0.268 0.500 0.273
Ni 0.479 0.500 0.015
Ni 0.503 0.000 0.526
Ni 0.751 0.500 0.777
Ni 0.752 0.000 0.279
O 0.124 0.500 0.892
O 0.126 0.000 0.391
O 0.376 0.500 0.644
O 0.399 0.000 0.153
O 0.617 0.000 0.898
O 0.634 0.500 0.398
O 0.873 0.000 0.645
F 0.885 0.500 0.148

Principal peaks in the range 2θ from 10° to 80°, low angle first:
2theta, d (Å), Rel. int.
18.17, 4.882, 11
36.80, 2.442, 96
42.46, 2.129, 51
42.90, 2.108, 100
61.95, 1.498, 57
62.29, 1.491, 29
73.96, 1.282, 12
74.59, 1.272, 25
78.28, 1.221, 20
78.37, 1.220, 6

Entry 9:
This entry pairs a crystal structure of Li4NiOF4 with its theoretical powder diffractogram. Radiation: Cu Kα. Structure: DFT lattice parameters and positions (GGA+U).
No peak broadening, texture or thermal motion is included.

Unit cell a=10.574 b=10.574 c=10.574 alpha=164.19 beta=164.19 gamma=22.43
Fractional positions:
Li 0.101 0.101 0.000
Li 0.298 0.298 0.000
Li 0.702 0.702 0.000
Li 0.899 0.899 0.000
Ni 0.500 0.500 0.000
O 0.000 0.000 0.000
F 0.201 0.201 0.000
F 0.396 0.396 0.000
F 0.604 0.604 0.000
F 0.799 0.799 0.000

Principal peaks in the range 2θ from 10° to 80°, low angle first:
2theta, d (Å), Rel. int.
17.10, 5.186, 59
25.77, 3.457, 25
31.05, 2.880, 68
33.43, 2.681, 51
43.62, 2.075, 83
44.04, 2.056, 100
44.94, 2.017, 18
50.53, 1.806, 18
63.73, 1.460, 54
64.04, 1.454, 27

Entry 10:
This entry pairs a crystal structure of Li3Ni5OF11 with its theoretical powder diffractogram. Radiation: Cu Kα. Structure: DFT lattice parameters and positions (GGA+U).
No peak broadening, texture or thermal motion is included.

Unit cell a=5.153 b=5.491 c=8.926 alpha=74.25 beta=89.44 gamma=62.67
Fractional positions:
Li 0.000 0.000 0.000
Li 0.074 0.861 0.359
Li 0.587 0.840 0.869
Ni 0.277 0.456 0.755
Ni 0.301 0.399 0.097
Ni 0.536 0.978 0.498
Ni 0.765 0.443 0.261
Ni 0.816 0.357 0.597
O 0.775 0.166 0.455
F 0.237 0.171 0.298
F 0.257 0.184 0.955
F 0.265 0.176 0.646
F 0.311 0.677 0.893
F 0.318 0.679 0.202
F 0.369 0.673 0.557
F 0.718 0.172 0.802
F 0.743 0.189 0.137
F 0.826 0.666 0.398
F 0.829 0.658 0.707
F 0.859 0.661 0.061

Principal peaks in the range 2θ from 10° to 80°, low angle first:
2theta, d (Å), Rel. int.
19.08, 4.652, 100
20.90, 4.250, 88
23.43, 3.797, 44
32.48, 2.757, 86
32.77, 2.733, 44
39.74, 2.268, 58
40.07, 2.250, 61
40.20, 2.243, 61
52.61, 1.740, 59
53.25, 1.720, 53

Entry 11:
This entry pairs a crystal structure of Li8NiO5F with its theoretical powder diffractogram. Radiation: Cu Kα. Structure: DFT lattice parameters and positions (GGA+U).
No peak broadening, texture or thermal motion is included.

Unit cell a=5.559 b=5.559 c=10.937 alpha=90.00 beta=90.00 gamma=120.00
Fractional positions:
Li 0.017 0.637 0.000
Li 0.022 0.313 0.151
Li 0.290 0.978 0.151
Li 0.313 0.290 0.651
Li 0.333 0.667 0.293
Li 0.333 0.667 0.809
Li 0.363 0.380 0.000
Li 0.380 0.017 0.500
Li 0.620 0.983 0.000
Li 0.637 0.620 0.500
Li 0.667 0.333 0.309
Li 0.667 0.333 0.793
Li 0.687 0.710 0.151
Li 0.710 0.022 0.651
Li 0.978 0.687 0.651
Li 0.983 0.363 0.500
Ni 0.000 0.000 0.368
Ni 0.000 0.000 0.868
O 0.000 0.000 0.049
O 0.000 0.000 0.549
O 0.002 0.681 0.826
O 0.319 0.321 0.826
O 0.321 0.002 0.326
O 0.333 0.667 0.091
O 0.667 0.333 0.591
O 0.679 0.998 0.826
O 0.681 0.679 0.326
O 0.998 0.319 0.326
F 0.333 0.667 0.585
F 0.667 0.333 0.085

Principal peaks in the range 2θ from 10° to 80°, low angle first:
2theta, d (Å), Rel. int.
16.21, 5.468, 29
18.43, 4.814, 79
24.64, 3.613, 100
32.21, 2.779, 42
32.75, 2.734, 32
33.26, 2.694, 29
40.97, 2.203, 25
46.60, 1.949, 25
53.04, 1.727, 22
57.42, 1.605, 33

Entry 12:
This entry pairs a crystal structure of Li6NiOF6 with its theoretical powder diffractogram. Radiation: Cu Kα. Structure: DFT lattice parameters and positions (GGA+U).
No peak broadening, texture or thermal motion is included.

Unit cell a=14.586 b=14.586 c=14.586 alpha=168.57 beta=168.57 gamma=16.18
Fractional positions:
Li 0.073 0.073 0.000
Li 0.215 0.215 0.000
Li 0.355 0.355 0.000
Li 0.645 0.645 0.000
Li 0.785 0.785 0.000
Li 0.927 0.927 0.000
Ni 0.500 0.500 0.000
O 0.000 0.000 0.000
F 0.145 0.145 0.000
F 0.285 0.285 0.000
F 0.425 0.425 0.000
F 0.575 0.575 0.000
F 0.715 0.715 0.000
F 0.855 0.855 0.000

Principal peaks in the range 2θ from 10° to 80°, low angle first:
2theta, d (Å), Rel. int.
12.26, 7.220, 74
18.43, 4.813, 31
30.95, 2.889, 54
32.20, 2.780, 37
34.57, 2.594, 28
41.96, 2.153, 24
43.89, 2.063, 50
44.11, 2.053, 100
63.98, 1.455, 53
64.15, 1.452, 27